[1]
This entry pairs a crystal structure of Li4Nb3V3Ni2O16 with its simulated X-ray diffraction stick pattern. Radiation: CuKα. Structure: a crystal structure in the Materials Project, relaxed with PBE+U.
Intensities are scaled so that the largest is 100.

The 6 most intense peaks (2θ from 5° to 70°), by intensity:
Position (°2θ)  intensity
19.08  100
17.95  92
35.26  66
34.59  43
43.93  37
61.00  31

Structural model:
abc: 6.0757 6.0757 9.8816
angles: 90.34 90.34 60.14
Fractional positions:
Li (0.0000, 0.0000, 0.0000)
Li (0.0061, 0.0061, 0.5114)
Li (0.3266, 0.3266, 0.6209)
Li (0.6601, 0.6601, 0.1032)
Nb (0.1580, 0.6545, 0.2885)
Nb (0.6545, 0.1580, 0.2885)
Nb (0.8229, 0.8229, 0.7847)
V (0.1621, 0.1621, 0.2915)
V (0.3334, 0.8209, 0.7913)
V (0.8209, 0.3334, 0.7913)
Ni (0.3213, 0.3213, 0.9957)
Ni (0.6537, 0.6537, 0.5229)
O (0.0269, 0.4808, 0.1719)
O (0.1523, 0.6711, 0.9001)
O (0.1525, 0.1525, 0.8939)
O (0.3109, 0.8337, 0.3965)
O (0.3330, 0.3330, 0.4060)
O (0.4779, 0.4779, 0.1735)
O (0.4808, 0.0269, 0.1719)
O (0.5115, 0.5115, 0.6720)
O (0.5121, 0.9587, 0.6670)
O (0.6675, 0.6675, 0.9050)
O (0.6711, 0.1523, 0.9001)
O (0.8337, 0.3109, 0.3965)
O (0.8344, 0.8344, 0.4028)
O (0.9587, 0.5121, 0.6670)
O (0.9911, 0.9911, 0.1858)
O (0.9918, 0.9918, 0.6897)

[2]
This entry pairs a crystal structure of MgV4Zn2O12 with its simulated X-ray diffraction stick pattern. Radiation: CuKα. Structure: a crystal structure in the Materials Project, relaxed with PBE+U.
Intensities are scaled so that the largest is 100.

The 6 most intense peaks (2θ from 5° to 70°), by intensity:
Position (°2θ)  intensity
34.17  100
34.55  64
49.52  41
20.73  38
34.79  32
61.30  30

Structural model:
abc: 5.1578 5.2564 7.3962
angles: 90.04 90.78 90.09
Fractional positions:
Mg (0.0000, 0.0000, 0.0000)
V (0.0087, 0.4123, 0.2783)
V (0.0211, 0.4498, 0.7675)
V (0.5067, 0.9429, 0.7589)
V (0.5183, 0.9013, 0.2668)
Zn (0.5140, 0.4624, 0.0011)
Zn (0.9994, 0.9108, 0.5244)
O (0.1339, 0.3974, 0.0300)
O (0.1744, 0.1252, 0.7186)
O (0.1750, 0.1274, 0.3313)
O (0.3382, 0.6390, 0.7401)
O (0.3407, 0.6358, 0.3139)
O (0.3907, 0.9265, 0.0320)
O (0.6185, 0.9747, 0.5104)
O (0.7097, 0.2252, 0.8378)
O (0.7102, 0.2711, 0.2100)
O (0.8238, 0.7696, 0.2000)
O (0.8289, 0.7311, 0.8291)
O (0.9477, 0.5214, 0.5070)

[3]
This entry pairs a crystal structure of Li9Mn2Co5O16 with its simulated X-ray diffraction stick pattern. Radiation: CuKα. Structure: a crystal structure in the Materials Project, relaxed with PBE+U.
Intensities are scaled so that the largest is 100.

The 6 most intense peaks (2θ from 5° to 70°), by intensity:
Position (°2θ)  intensity
18.39  100
42.21  30
44.17  26
44.34  25
62.85  22
34.95  16

Structural model:
abc: 5.0282 5.9226 10.1545
angles: 104.88 99.65 92.25
Fractional positions:
Li (0.0000, 0.0000, 0.0000)
Li (0.9999, 0.0107, 0.5362)
Li (0.2430, 0.8824, 0.7714)
Li (0.4797, 0.7720, 0.5403)
Li (0.4836, 0.2486, 0.0071)
Li (0.4931, 0.7532, 0.0042)
Li (0.4974, 0.2717, 0.5346)
Li (0.9879, 0.4896, 0.0043)
Li (0.9973, 0.5278, 0.5342)
Mn (0.2432, 0.8833, 0.2719)
Mn (0.7423, 0.1365, 0.2699)
Co (0.2363, 0.3862, 0.7712)
Co (0.2398, 0.3805, 0.2684)
Co (0.7278, 0.1252, 0.7668)
Co (0.7432, 0.6321, 0.2705)
Co (0.7475, 0.6392, 0.7717)
O (0.0886, 0.6833, 0.8840)
O (0.0972, 0.2162, 0.3840)
O (0.1007, 0.7026, 0.3847)
O (0.1105, 0.2049, 0.8829)
O (0.3787, 0.0812, 0.6514)
O (0.3842, 0.0584, 0.1550)
O (0.3859, 0.5558, 0.1586)
O (0.3865, 0.5659, 0.6600)
O (0.6096, 0.9582, 0.3849)
O (0.6110, 0.4258, 0.3724)
O (0.6211, 0.4514, 0.8846)
O (0.6361, 0.9250, 0.8835)
O (0.8466, 0.8144, 0.6560)
O (0.8637, 0.3498, 0.6575)
O (0.8663, 0.8427, 0.1680)
O (0.8810, 0.3158, 0.1566)

[4]
This entry pairs a crystal structure of SrLaMnFeO6 with its simulated X-ray diffraction stick pattern. Radiation: CuKα. Structure: a crystal structure in the Materials Project, relaxed with PBE+U.
Intensities are scaled so that the largest is 100.

The 6 most intense peaks (2θ from 5° to 70°), by intensity:
Position (°2θ)  intensity
32.39  100
46.34  26
32.26  20
57.75  18
39.92  18
57.61  17

Structural model:
abc: 5.5503 5.5335 9.5635
angles: 90.00 125.43 90.00
Fractional positions:
Sr (0.0000, 0.2336, 0.0000)
Sr (0.0000, 0.7664, 0.5000)
La (0.5067, 0.2744, 0.5000)
La (0.5067, 0.7256, 0.0000)
Mn (0.2515, 0.2492, 0.7499)
Mn (0.2515, 0.7508, 0.2499)
Fe (0.7516, 0.2473, 0.2497)
Fe (0.7516, 0.7527, 0.7497)
O (0.0731, 0.2451, 0.5060)
O (0.0731, 0.7549, 0.0060)
O (0.4455, 0.2615, 0.9934)
O (0.4455, 0.7385, 0.4934)
O (0.4997, 0.0243, 0.2815)
O (0.4997, 0.9757, 0.7815)
O (0.5429, 0.4769, 0.7772)
O (0.5429, 0.5231, 0.2772)
O (0.9466, 0.0328, 0.7181)
O (0.9466, 0.9672, 0.2181)
O (0.9970, 0.4850, 0.2219)
O (0.9970, 0.5150, 0.7219)

[5]
This entry pairs a crystal structure of Mn3CrO8 with its simulated X-ray diffraction stick pattern. Radiation: CuKα. Structure: a crystal structure in the Materials Project, relaxed with PBE+U.
Intensities are scaled so that the largest is 100.

The 6 most intense peaks (2θ from 5° to 70°), by intensity:
Position (°2θ)  intensity
18.47  100
43.69  46
36.00  31
57.71  15
66.89  13
63.64  13

Structural model:
abc: 5.8719 5.8719 5.8719
angles: 59.74 59.74 59.74
Fractional positions:
Mn (0.0000, 0.5000, 0.5000)
Mn (0.5000, 0.0000, 0.5000)
Mn (0.5000, 0.5000, 0.0000)
Cr (0.0000, 0.0000, 0.0000)
O (0.2334, 0.2334, 0.7303)
O (0.2334, 0.7303, 0.2334)
O (0.2675, 0.2675, 0.2675)
O (0.2697, 0.7666, 0.7666)
O (0.7303, 0.2334, 0.2334)
O (0.7325, 0.7325, 0.7325)
O (0.7666, 0.2697, 0.7666)
O (0.7666, 0.7666, 0.2697)

[6]
This entry pairs a crystal structure of Li2CoPHO5 with its simulated X-ray diffraction stick pattern. Radiation: CuKα. Structure: a crystal structure in the Materials Project, relaxed with PBE+U.
Intensities are scaled so that the largest is 100.

The 6 most intense peaks (2θ from 5° to 70°), by intensity:
Position (°2θ)  intensity
26.26  100
27.53  54
17.85  39
36.22  30
17.41  24
54.03  23

Structural model:
abc: 5.3845 7.5070 10.8097
angles: 101.04 101.07 109.82
Fractional positions:
Li (0.0484, 0.2242, 0.0658)
Li (0.0796, 0.5088, 0.8021)
Li (0.4228, 0.9911, 0.6984)
Li (0.4484, 0.2765, 0.4333)
Li (0.5516, 0.7235, 0.5667)
Li (0.5772, 0.0089, 0.3016)
Li (0.9204, 0.4912, 0.1979)
Li (0.9516, 0.7758, 0.9342)
Co (0.0000, 0.0000, 0.5000)
Co (0.0000, 0.5000, 0.5000)
Co (0.5000, 0.0000, 0.0000)
Co (0.5000, 0.5000, 0.0000)
P (0.0171, 0.9456, 0.1892)
P (0.4792, 0.5550, 0.3109)
P (0.5208, 0.4450, 0.6891)
P (0.9829, 0.0544, 0.8108)
H (0.2497, 0.6836, 0.0521)
H (0.2586, 0.8188, 0.4513)
H (0.7414, 0.1812, 0.5487)
H (0.7503, 0.3164, 0.9479)
O (0.1136, 0.2822, 0.8742)
O (0.1816, 0.0005, 0.3360)
O (0.1924, 0.8012, 0.5283)
O (0.2026, 0.9637, 0.8246)
O (0.2254, 0.0369, 0.1144)
O (0.2718, 0.4624, 0.3858)
O (0.3005, 0.5352, 0.6759)
O (0.3080, 0.6988, 0.9729)
O (0.3136, 0.5006, 0.1642)
O (0.3914, 0.2173, 0.6257)
O (0.6086, 0.7827, 0.3743)
O (0.6864, 0.4994, 0.8358)
O (0.6920, 0.3012, 0.0271)
O (0.6995, 0.4648, 0.3241)
O (0.7282, 0.5376, 0.6142)
O (0.7746, 0.9631, 0.8856)
O (0.7974, 0.0363, 0.1754)
O (0.8076, 0.1988, 0.4717)
O (0.8184, 0.9995, 0.6640)
O (0.8864, 0.7178, 0.1258)

[7]
This entry pairs a crystal structure of Na3Ni2P2C2O14 with its simulated X-ray diffraction stick pattern. Radiation: CuKα. Structure: a crystal structure in the Materials Project, relaxed with PBE+U.
Intensities are scaled so that the largest is 100.

The 6 most intense peaks (2θ from 5° to 70°), by intensity:
Position (°2θ)  intensity
9.90  100
16.76  36
27.17  34
26.02  27
21.87  20
34.66  19

Structural model:
abc: 5.1777 6.5647 17.8814
angles: 90.00 91.40 90.00
Fractional positions:
Na (0.0000, 0.2222, 0.0000)
Na (0.0000, 0.7778, 0.5000)
Na (0.4822, 0.2604, 0.7477)
Na (0.4822, 0.7396, 0.2477)
Na (0.4827, 0.2642, 0.2492)
Na (0.4827, 0.7358, 0.7492)
Ni (0.0211, 0.0040, 0.1982)
Ni (0.0211, 0.9960, 0.6982)
Ni (0.4576, 0.4898, 0.5465)
Ni (0.4576, 0.5102, 0.0465)
P (0.5249, 0.0036, 0.0856)
P (0.5249, 0.9964, 0.5856)
P (0.9599, 0.4968, 0.6601)
P (0.9599, 0.5032, 0.1601)
C (0.5294, 0.4970, 0.9099)
C (0.5294, 0.5030, 0.4099)
C (0.9575, 0.0003, 0.3349)
C (0.9575, 0.9997, 0.8349)
O (0.0308, 0.3166, 0.2098)
O (0.0308, 0.6834, 0.7098)
O (0.0366, 0.3078, 0.7070)
O (0.0366, 0.6922, 0.2070)
O (0.1028, 0.4923, 0.0856)
O (0.1028, 0.5077, 0.5856)
O (0.1842, 0.0011, 0.3050)
O (0.1842, 0.9989, 0.8050)
O (0.3030, 0.4981, 0.9391)
O (0.3030, 0.5019, 0.4391)
O (0.3830, 0.0040, 0.1612)
O (0.3830, 0.9960, 0.6612)
O (0.4466, 0.1891, 0.0365)
O (0.4466, 0.8109, 0.5365)
O (0.4556, 0.1849, 0.5383)
O (0.4556, 0.8151, 0.0383)
O (0.5649, 0.4961, 0.8404)
O (0.5649, 0.5039, 0.3404)
O (0.6600, 0.4965, 0.6442)
O (0.6600, 0.5035, 0.1442)
O (0.7155, 0.4974, 0.9600)
O (0.7155, 0.5026, 0.4600)
O (0.7666, 0.0019, 0.2854)
O (0.7666, 0.9981, 0.7854)
O (0.8202, 0.0145, 0.1039)
O (0.8202, 0.9855, 0.6039)
O (0.9235, 0.0022, 0.9037)
O (0.9235, 0.9978, 0.4037)

[8]
This entry pairs a crystal structure of MgV8O8F8 with its simulated X-ray diffraction stick pattern. Radiation: CuKα. Structure: a crystal structure in the Materials Project, relaxed with PBE+U.
Intensities are scaled so that the largest is 100.

The 6 most intense peaks (2θ from 5° to 70°), by intensity:
Position (°2θ)  intensity
24.87  100
26.81  87
50.98  45
33.41  28
34.49  25
48.91  24

Structural model:
abc: 4.9263 5.7484 10.5229
angles: 85.05 89.44 84.91
Fractional positions:
Mg (0.0000, 0.0000, 0.0000)
V (0.0000, 0.0000, 0.5000)
V (0.0000, 0.5000, 0.0000)
V (0.0162, 0.7250, 0.2713)
V (0.4693, 0.7503, 0.7611)
V (0.5000, 0.0000, 0.0000)
V (0.5000, 0.5000, 0.5000)
V (0.5307, 0.2497, 0.2389)
V (0.9838, 0.2750, 0.7287)
O (0.1973, 0.9959, 0.6688)
O (0.2124, 0.7244, 0.4345)
O (0.2198, 0.4818, 0.1810)
O (0.2656, 0.7619, 0.9235)
O (0.7344, 0.2381, 0.0765)
O (0.7802, 0.5182, 0.8190)
O (0.7876, 0.2756, 0.5655)
O (0.8027, 0.0041, 0.3312)
F (0.2153, 0.2383, 0.9060)
F (0.2583, 0.9836, 0.1639)
F (0.2877, 0.4876, 0.6726)
F (0.3140, 0.2327, 0.4182)
F (0.6860, 0.7673, 0.5818)
F (0.7123, 0.5124, 0.3274)
F (0.7417, 0.0164, 0.8361)
F (0.7847, 0.7617, 0.0940)

[9]
This entry pairs a crystal structure of Rb2Pr2MgW4O16 with its simulated X-ray diffraction stick pattern. Radiation: CuKα. Structure: a crystal structure in the Materials Project, relaxed with PBE+U.
Intensities are scaled so that the largest is 100.

The 6 most intense peaks (2θ from 5° to 70°), by intensity:
Position (°2θ)  intensity
27.32  100
28.71  96
28.60  94
24.01  69
30.14  63
30.64  59

Structural model:
abc: 7.5505 7.6409 8.4016
angles: 87.71 64.54 61.08
Fractional positions:
Rb (0.0000, 0.0000, 0.0000)
Rb (0.4886, 0.4116, 0.5913)
Pr (0.5372, 0.9416, 0.9528)
Pr (0.9514, 0.4590, 0.6305)
Mg (0.3055, 0.2804, 0.2621)
W (0.0525, 0.8878, 0.4775)
W (0.4526, 0.5376, 0.1086)
W (0.5560, 0.8910, 0.4661)
W (0.9524, 0.5172, 0.1151)
O (0.0303, 0.4652, 0.8742)
O (0.1508, 0.2475, 0.1321)
O (0.1750, 0.5888, 0.0673)
O (0.2232, 0.5558, 0.3697)
O (0.2715, 0.8436, 0.2081)
O (0.3211, 0.8122, 0.5080)
O (0.3347, 0.1721, 0.4628)
O (0.4606, 0.9555, 0.7105)
O (0.5598, 0.2379, 0.0337)
O (0.5927, 0.6024, 0.8729)
O (0.7016, 0.4520, 0.1589)
O (0.7018, 0.8115, 0.1775)
O (0.8091, 0.5836, 0.3960)
O (0.8183, 0.9466, 0.4109)
O (0.9077, 0.8101, 0.6923)
O (0.9291, 0.1596, 0.5630)

- What is the formula in the seventh record?
  Na3Ni2P2C2O14